1.
CsLa2Ce2O7: calculated powder diffraction line list (λ = 1.5418 Å (Cu Kα)), based on a DFT-relaxed cell (PBE, Alexandria).
Neutral-atom scattering factors, no anomalous dispersion.

Structural model:
abc: 10.517 10.517 10.517
angles: 154.08 38.33 152.25
Fractional coordinates of all 12 atoms:
1 Cs 0.000 0.000 0.000
2 La 0.259 0.515 0.745
3 La 0.770 0.515 0.255
4 Ce 0.389 0.998 0.391
5 Ce 0.607 0.998 0.609
6 O 0.197 0.569 0.628
7 O 0.288 0.018 0.270
8 O 0.399 0.533 0.866
9 O 0.523 0.023 0.500
10 O 0.667 0.533 0.134
11 O 0.748 0.018 0.730
12 O 0.941 0.569 0.372

Main lines, in order of rising 2θ (15° ≤ 2θ ≤ 90°):
| 2θ/deg | intensity |
| --- | --- |
| 22.2 | 23 |
| 23.2 | 30 |
| 27.4 | 100 |
| 28.6 | 36 |
| 29.4 | 21 |
| 31.6 | 28 |
| 35.6 | 38 |
| 36.2 | 28 |
| 38.2 | 33 |
| 48.4 | 17 |
| 51.7 | 19 |
| 53.2 | 56 |

***

2.
ZnSO5: calculated powder diffraction line list (λ = 1.5418 Å (Cu Kα)), based on a DFT-relaxed cell (PBE, Alexandria).
Neutral-atom scattering factors, no anomalous dispersion.

Structural model:
abc: 7.480 7.839 8.436
angles: 65.32 71.03 84.51
Fractional coordinates of all 28 atoms:
1 Zn 0.000 0.000 0.000
2 Zn 0.011 0.502 0.249
3 Zn 0.500 0.500 0.500
4 Zn 0.989 0.498 0.751
5 S 0.199 0.776 0.345
6 S 0.256 0.310 0.972
7 S 0.744 0.690 0.028
8 S 0.801 0.224 0.655
9 O 0.059 0.739 0.534
10 O 0.066 0.190 0.061
11 O 0.081 0.754 0.230
12 O 0.219 0.446 0.065
13 O 0.256 0.431 0.768
14 O 0.310 0.152 0.465
15 O 0.318 0.596 0.369
16 O 0.341 0.977 0.845
17 O 0.408 0.819 0.887
18 O 0.460 0.212 0.459
19 O 0.540 0.788 0.541
20 O 0.592 0.181 0.113
21 O 0.659 0.023 0.155
22 O 0.682 0.404 0.631
23 O 0.690 0.848 0.535
24 O 0.744 0.569 0.232
25 O 0.781 0.554 0.935
26 O 0.919 0.246 0.770
27 O 0.934 0.810 0.939
28 O 0.941 0.261 0.466

Main lines, in order of rising 2θ (15° ≤ 2θ ≤ 90°):
| 2θ/deg | intensity |
| --- | --- |
| 20.1 | 39 |
| 21.9 | 23 |
| 24.3 | 17 |
| 24.8 | 77 |
| 26.8 | 17 |
| 29.1 | 100 |
| 31.0 | 85 |
| 31.5 | 22 |
| 31.9 | 15 |
| 35.8 | 34 |
| 37.7 | 33 |
| 44.8 | 17 |

***

3.
Pr4Se3Cl4: calculated powder diffraction line list (λ = 1.5418 Å (Cu Kα)), based on a DFT-relaxed cell (PBE, Alexandria).
Neutral-atom scattering factors, no anomalous dispersion.

Structural model:
abc: 9.790 9.790 9.790
angles: 157.23 128.22 57.26
Fractional coordinates of all 11 atoms:
1 Pr 0.231 0.000 0.231
2 Pr 0.231 0.231 0.000
3 Pr 0.769 0.000 0.769
4 Pr 0.769 0.769 0.000
5 Se 0.095 0.595 0.500
6 Se 0.500 0.500 0.000
7 Se 0.905 0.405 0.500
8 Cl 0.141 0.826 0.315
9 Cl 0.489 0.174 0.315
10 Cl 0.511 0.826 0.685
11 Cl 0.859 0.174 0.685

Main lines, in order of rising 2θ (15° ≤ 2θ ≤ 90°):
| 2θ/deg | intensity |
| --- | --- |
| 20.7 | 58 |
| 23.2 | 54 |
| 31.6 | 100 |
| 32.9 | 91 |
| 35.0 | 91 |
| 35.2 | 30 |
| 37.8 | 52 |
| 40.7 | 37 |
| 42.3 | 26 |
| 47.0 | 29 |
| 48.8 | 38 |
| 68.4 | 32 |

***

4.
AcIn4Ru: calculated powder diffraction line list (λ = 1.5418 Å (Cu Kα)), based on a DFT-relaxed cell (PBE, Alexandria).
Neutral-atom scattering factors, no anomalous dispersion.

Structural model:
abc: 8.629 4.493 7.715
angles: 90.00 90.00 90.00
Fractional coordinates of all 12 atoms:
1 Ac 0.250 0.000 0.110
2 Ac 0.750 0.000 0.890
3 In 0.000 0.000 0.500
4 In 0.065 0.500 0.809
5 In 0.250 0.500 0.451
6 In 0.435 0.500 0.809
7 In 0.500 0.000 0.500
8 In 0.565 0.500 0.191
9 In 0.750 0.500 0.549
10 In 0.935 0.500 0.191
11 Ru 0.250 0.000 0.698
12 Ru 0.750 0.000 0.302

Main lines, in order of rising 2θ (15° ≤ 2θ ≤ 90°):
| 2θ/deg | intensity |
| --- | --- |
| 28.7 | 21 |
| 31.0 | 100 |
| 32.3 | 84 |
| 33.2 | 19 |
| 34.9 | 18 |
| 36.5 | 27 |
| 37.1 | 47 |
| 39.0 | 31 |
| 40.1 | 43 |
| 41.9 | 21 |
| 62.5 | 18 |
| 63.8 | 19 |

***

5.
Zn3Se: calculated powder diffraction line list (λ = 1.5418 Å (Cu Kα)), based on a DFT-relaxed cell (PBE, Alexandria).
Neutral-atom scattering factors, no anomalous dispersion.

Structural model:
abc: 4.204 6.147 6.197
angles: 91.63 107.74 91.16
Fractional coordinates of all 8 atoms:
1 Zn 0.000 0.000 0.000
2 Zn 0.022 0.481 0.022
3 Zn 0.212 0.800 0.400
4 Zn 0.473 0.226 0.938
5 Zn 0.541 0.761 0.086
6 Zn 0.741 0.363 0.359
7 Se 0.305 0.197 0.515
8 Se 0.816 0.699 0.622

Main lines, in order of rising 2θ (15° ≤ 2θ ≤ 90°):
| 2θ/deg | intensity |
| --- | --- |
| 26.2 | 32 |
| 27.1 | 37 |
| 29.1 | 30 |
| 30.3 | 71 |
| 33.4 | 100 |
| 36.3 | 38 |
| 41.8 | 33 |
| 43.1 | 86 |
| 43.3 | 63 |
| 43.6 | 30 |
| 43.9 | 28 |
| 55.6 | 27 |

***

6.
CaSiSn2: calculated powder diffraction line list (λ = 1.5418 Å (Cu Kα)), based on a DFT-relaxed cell (PBE, Alexandria).
Neutral-atom scattering factors, no anomalous dispersion.

Structural model:
abc: 6.575 6.575 6.575
angles: 104.22 104.22 120.58
Fractional coordinates of all 8 atoms:
1 Ca 0.000 0.000 0.000
2 Ca 0.750 0.250 0.500
3 Si 0.250 0.750 0.500
4 Si 0.500 0.500 0.000
5 Sn 0.178 0.625 0.053
6 Sn 0.375 0.428 0.553
7 Sn 0.572 0.125 0.947
8 Sn 0.875 0.822 0.447

Main lines, in order of rising 2θ (15° ≤ 2θ ≤ 90°):
| 2θ/deg | intensity |
| --- | --- |
| 22.0 | 42 |
| 28.3 | 37 |
| 31.3 | 61 |
| 31.6 | 100 |
| 36.1 | 15 |
| 42.7 | 22 |
| 44.9 | 16 |
| 45.1 | 49 |
| 48.5 | 16 |
| 58.9 | 20 |
| 61.4 | 22 |
| 63.7 | 11 |

***

7.
Pm2Sn5Pd3: calculated powder diffraction line list (λ = 1.5418 Å (Cu Kα)), based on a DFT-relaxed cell (PBE, Alexandria).
Neutral-atom scattering factors, no anomalous dispersion.

Structural model:
abc: 13.562 13.562 7.438
angles: 90.00 90.00 160.50
Fractional coordinates of all 20 atoms:
1 Pm 0.023 0.977 0.500
2 Pm 0.327 0.673 0.488
3 Pm 0.673 0.327 0.988
4 Pm 0.977 0.023 0.000
5 Sn 0.097 0.903 0.133
6 Sn 0.204 0.796 0.686
7 Sn 0.211 0.789 0.265
8 Sn 0.381 0.619 0.006
9 Sn 0.452 0.548 0.336
10 Sn 0.548 0.452 0.836
11 Sn 0.619 0.381 0.506
12 Sn 0.789 0.211 0.765
13 Sn 0.796 0.204 0.186
14 Sn 0.903 0.097 0.633
15 Pd 0.106 0.894 0.762
16 Pd 0.278 0.722 0.967
17 Pd 0.449 0.551 0.718
18 Pd 0.551 0.449 0.218
19 Pd 0.722 0.278 0.467
20 Pd 0.894 0.106 0.262

Main lines, in order of rising 2θ (15° ≤ 2θ ≤ 90°):
| 2θ/deg | intensity |
| --- | --- |
| 32.6 | 100 |
| 32.8 | 70 |
| 35.7 | 24 |
| 36.0 | 22 |
| 38.7 | 20 |
| 39.2 | 48 |
| 42.7 | 14 |
| 43.7 | 18 |
| 54.1 | 15 |
| 56.3 | 14 |
| 62.0 | 21 |
| 66.9 | 16 |

***

8.
Pm2BeSi4Pt3: calculated powder diffraction line list (λ = 1.5418 Å (Cu Kα)), based on a DFT-relaxed cell (PBE, Alexandria).
Neutral-atom scattering factors, no anomalous dispersion.

Structural model:
abc: 4.182 4.182 9.965
angles: 90.00 90.00 90.00
Fractional coordinates of all 10 atoms:
1 Pm 0.000 0.500 0.247
2 Pm 0.500 0.000 0.753
3 Be 0.500 0.500 0.000
4 Si 0.000 0.000 0.500
5 Si 0.000 0.500 0.870
6 Si 0.500 0.000 0.130
7 Si 0.500 0.500 0.500
8 Pt 0.000 0.000 0.000
9 Pt 0.000 0.500 0.624
10 Pt 0.500 0.000 0.376

Main lines, in order of rising 2θ (15° ≤ 2θ ≤ 90°):
| 2θ/deg | intensity |
| --- | --- |
| 23.1 | 24 |
| 27.9 | 63 |
| 30.2 | 41 |
| 31.6 | 42 |
| 34.5 | 100 |
| 35.3 | 70 |
| 43.3 | 65 |
| 50.7 | 33 |
| 52.2 | 23 |
| 56.5 | 49 |
| 62.9 | 22 |
| 68.8 | 27 |

***

> What is the formula in the seventh record?

Pm2Sn5Pd3